1.
Simulated powder diffractogram of LaTbBC2 for Cu Kα, from a cell relaxed with GGA-PBE.
Neutral-atom scattering factors, no anomalous dispersion.

abc: 3.7986 3.7986 6.0935
angles: 107.50 107.50 89.99
Sites, in units of the cell vectors:
1 La 0.0000 0.0000 0.0000
2 Tb 0.7035 0.7035 0.4202
3 B 0.3612 0.3612 0.7266
4 C 0.2223 0.2223 0.4562
5 C 0.4964 0.4964 0.9955

Peak list (12 most intense, 2θ = 5–70°, by angle)
2θ 16.07, intensity 13
2θ 24.70, intensity 47
2θ 24.89, intensity 52
2θ 32.47, intensity 38
2θ 33.36, intensity 100
2θ 33.72, intensity 64
2θ 34.15, intensity 60
2θ 47.24, intensity 26
2θ 47.67, intensity 13
2θ 47.90, intensity 36
2θ 54.77, intensity 14
2θ 59.43, intensity 13

---

2.
Simulated powder diffractogram of ZnBi for Cu Kα, from a cell relaxed with GGA-PBE.
Neutral-atom scattering factors, no anomalous dispersion.

abc: 5.0970 7.1236 5.5526
angles: 90.00 90.00 90.00
Sites, in units of the cell vectors:
1 Zn 0.0000 0.0000 0.0000
2 Zn 0.0000 0.1940 0.5763
3 Zn 0.0000 0.8060 0.5763
4 Zn 0.5000 0.0000 0.7345
5 Bi 0.0000 0.5000 0.0129
6 Bi 0.5000 0.2217 0.2471
7 Bi 0.5000 0.5000 0.6898
8 Bi 0.5000 0.7783 0.2471

Peak list (12 most intense, 2θ = 5–70°, by angle)
2θ 17.40, intensity 13
2θ 23.70, intensity 16
2θ 26.84, intensity 30
2θ 29.80, intensity 42
2θ 34.71, intensity 100
2θ 35.22, intensity 40
2θ 36.87, intensity 56
2θ 46.78, intensity 25
2θ 55.99, intensity 13
2θ 62.87, intensity 18
2θ 64.83, intensity 16
2θ 67.90, intensity 17

---

3.
Simulated powder diffractogram of KPrO3 for Cu Kα, from a cell relaxed with GGA-PBE.
Neutral-atom scattering factors, no anomalous dispersion.

abc: 4.5427 4.5427 4.5502
angles: 90.00 90.00 90.00
Sites, in units of the cell vectors:
1 K 0.0000 0.0000 0.0000
2 Pr 0.5000 0.5000 0.4994
3 O 0.0000 0.5000 0.4968
4 O 0.5000 0.0000 0.4968
5 O 0.5000 0.5000 0.9991

Peak list (12 most intense, 2θ = 5–70°, by angle)
2θ 19.53, intensity 59
2θ 27.76, intensity 100
2θ 34.17, intensity 4
2θ 39.66, intensity 37
2θ 44.58, intensity 28
2θ 49.10, intensity 41
2θ 57.34, intensity 23
2θ 61.17, intensity 12
2θ 61.21, intensity 2
2θ 64.85, intensity 12
2θ 64.91, intensity 6
2θ 68.46, intensity 3